The following is a computed powder diffractogram of Tl2In5. It was derived from a crystal structure in Alexandria, relaxed with PBE, using Cu Ka.

a = 8.248 Å, b = 8.248 Å, c = 8.248 Å
α = 38.85°, β = 38.85°, γ = 38.85°
Fractional coordinates of all 7 atoms:
Tl1 0.142 0.142 0.142
Tl2 0.858 0.858 0.858
In1 0.000 0.000 0.000
In2 0.287 0.287 0.287
In3 0.427 0.427 0.427
In4 0.573 0.573 0.573
In5 0.713 0.713 0.713

The 10 most intense peaks (5 to 70 degrees two-theta), by angle:
2θ 11.6, rel. 6.4; 2θ 24.4, rel. 5.7; 2θ 32.6, rel. 100.0; 2θ 33.3, rel. 94.6; 2θ 47.3, rel. 35.2; 2θ 58.3, rel. 18.8; 2θ 58.7, rel. 36.7; 2θ 59.9, rel. 17.1; 2θ 68.4, rel. 11.5; 2θ 69.9, rel. 10.7

---

The following is a computed powder diffractogram of Tl7In6. It was derived from a crystal structure in Alexandria, relaxed with PBE, using Cu Ka.

a = 11.431 Å, b = 11.431 Å, c = 11.431 Å
α = 33.31°, β = 33.31°, γ = 33.31°
Fractional coordinates of all 13 atoms:
Tl1 0.000 0.000 0.000
Tl2 0.088 0.088 0.581
Tl3 0.088 0.581 0.088
Tl4 0.419 0.912 0.912
Tl5 0.581 0.088 0.088
Tl6 0.912 0.419 0.912
Tl7 0.912 0.912 0.419
In1 0.166 0.166 0.166
In2 0.349 0.349 0.349
In3 0.453 0.453 0.453
In4 0.547 0.547 0.547
In5 0.651 0.651 0.651
In6 0.834 0.834 0.834

The 10 most intense peaks (5 to 70 degrees two-theta), by angle:
2θ 16.4, rel. 23.5; 2θ 31.7, rel. 46.5; 2θ 32.0, rel. 100.0; 2θ 33.2, rel. 26.3; 2θ 34.3, rel. 34.5; 2θ 34.5, rel. 59.0; 2θ 37.2, rel. 44.5; 2θ 51.2, rel. 27.7; 2θ 56.1, rel. 35.3; 2θ 66.8, rel. 21.4

---

The following is a computed powder diffractogram of Tl3In4. It was derived from a crystal structure in Alexandria, relaxed with PBE, using Cu Ka.

a = 13.369 Å, b = 13.369 Å, c = 13.369 Å
α = 163.04°, β = 163.04°, γ = 24.08°
Fractional coordinates of all 7 atoms:
Tl1 0.000 0.000 0.000
Tl2 0.289 0.289 0.000
Tl3 0.711 0.711 0.000
In1 0.138 0.138 0.000
In2 0.428 0.428 0.000
In3 0.572 0.572 0.000
In4 0.862 0.862 0.000

The 10 most intense peaks (5 to 70 degrees two-theta), by angle:
2θ 13.5, rel. 3.7; 2θ 24.8, rel. 8.1; 2θ 32.1, rel. 54.7; 2θ 33.0, rel. 100.0; 2θ 46.0, rel. 20.1; 2θ 48.8, rel. 8.0; 2θ 57.8, rel. 40.2; 2θ 59.6, rel. 17.6; 2θ 67.1, rel. 6.5; 2θ 69.3, rel. 11.2

---

The following is a computed powder diffractogram of Tl5In2. It was derived from a crystal structure in Alexandria, relaxed with PBE, using Cu Ka.

a = 8.353 Å, b = 8.353 Å, c = 8.353 Å
α = 39.11°, β = 39.11°, γ = 39.11°
Fractional coordinates of all 7 atoms:
Tl1 0.000 0.000 0.000
Tl2 0.285 0.285 0.285
Tl3 0.429 0.429 0.429
Tl4 0.571 0.571 0.571
Tl5 0.715 0.715 0.715
In1 0.144 0.144 0.144
In2 0.856 0.856 0.856

The 10 most intense peaks (5 to 70 degrees two-theta), by angle:
2θ 11.5, rel. 4.0; 2θ 24.0, rel. 3.6; 2θ 32.0, rel. 100.0; 2θ 32.8, rel. 93.5; 2θ 46.5, rel. 35.8; 2θ 57.1, rel. 19.6; 2θ 57.6, rel. 38.1; 2θ 59.1, rel. 17.5; 2θ 66.9, rel. 12.2; 2θ 68.8, rel. 11.2